This entry pairs a crystal structure of Li2V5CuO12 with its simulated PXRD pattern. Radiation: CuKα. Structure: a structure optimized by DFT (PBE+U).
No peak broadening, texture or thermal motion is included.

Structural model:
Unit cell a=6.924 b=6.924 c=5.676 alpha=107.53 beta=107.53 gamma=76.06
Element x y z (fractional)
Li1 0.000 0.000 0.000
Li2 0.556 0.444 0.500
V1 0.104 0.337 0.516
V2 0.361 0.639 0.000
V3 0.450 0.098 0.957
V4 0.663 0.896 0.484
V5 0.902 0.550 0.043
Cu1 0.176 0.824 0.500
O1 0.085 0.716 0.082
O2 0.259 0.110 0.579
O3 0.270 0.515 0.610
O4 0.284 0.915 0.918
O5 0.400 0.366 0.061
O6 0.485 0.730 0.390
O7 0.598 0.083 0.312
O8 0.634 0.600 0.939
O9 0.693 0.004 0.819
O10 0.890 0.741 0.421
O11 0.917 0.402 0.688
O12 0.996 0.307 0.181

Main lines, low angle first (2θ = 10–90°):
two_theta, Rel. int.
13.60, 296
17.60, 97
18.92, 236
20.82, 89
26.94, 73
28.50, 1000
34.19, 233
35.88, 160
40.12, 141
42.78, 86
46.92, 75
52.93, 258